Entry 1:
The following is a simulated powder diffractogram of MgV8O8F8. It was derived from a cell relaxed with PBE+U, using CuKα.
Intensities are scaled so that the largest is 100.

Largest 10 diffraction maxima, in order of rising 2θ, 10 to 80 degrees two-theta:
h k l	d (Å)	I (rel.)
1 1 -1	3.443	100.0
1 -1 1	3.420	92.5
1 1 3	2.621	26.4
0 2 2	2.599	72.2
2 2 2	1.791	21.6
2 0 -4	1.777	33.4
-2 2 2	1.771	39.8
2 2 -2	1.722	23.7
0 2 6	1.543	21.5
0 4 0	1.424	26.4

Cell and atoms:
Cell: 4.892 5.720 10.437 Å, 84.80 89.76 89.41°
Element x y z (fractional)
Mg1 0.000 0.000 0.000
V1 0.019 0.995 0.502
V2 0.020 0.712 0.263
V3 0.476 0.751 0.745
V4 0.489 0.993 0.000
V5 0.515 0.231 0.223
V6 0.526 0.495 0.472
V7 0.973 0.505 0.968
V8 0.989 0.262 0.711
O1 0.206 0.719 0.419
O2 0.220 0.979 0.663
O3 0.247 0.974 0.157
O4 0.250 0.755 0.917
O5 0.703 0.503 0.303
O6 0.745 0.242 0.059
O7 0.782 0.520 0.811
O8 0.783 0.264 0.549
F1 0.206 0.469 0.148
F2 0.217 0.242 0.899
F3 0.300 0.227 0.398
F4 0.306 0.486 0.653
F5 0.706 0.762 0.571
F6 0.730 0.004 0.833
F7 0.774 0.743 0.074
F8 0.792 0.993 0.323

---

Entry 2:
The following is a simulated powder diffractogram of Li9Mn2Co5O16. It was derived from a cell relaxed with PBE+U, using CuKα.
Intensities are scaled so that the largest is 100.

Largest 10 diffraction maxima, in order of rising 2θ, 10 to 80 degrees two-theta:
h k l	d (Å)	I (rel.)
0 1 -2	4.824	100.0
-1 1 2	2.646	20.8
1 1 2	2.453	12.0
0 3 2	2.430	14.8
1 0 -4	2.224	36.3
1 0 4	2.029	25.8
0 4 0	2.008	24.4
2 0 0	1.505	8.5
0 0 8	1.493	16.0
1 4 4	1.412	9.7

Cell and atoms:
Cell: 3.022 8.032 11.999 Å, 90.66 95.23 90.96°
Element x y z (fractional)
Li1 0.000 0.000 0.000
Li2 0.000 0.003 0.497
Li3 0.496 0.752 0.873
Li4 0.498 0.753 0.122
Li5 0.499 0.254 0.122
Li6 0.499 0.254 0.623
Li7 0.501 0.755 0.372
Li8 0.997 0.510 0.243
Li9 0.999 0.502 0.749
Mn1 0.499 0.754 0.623
Mn2 0.500 0.252 0.371
Co1 0.003 0.993 0.241
Co2 0.500 0.256 0.873
Co3 0.997 0.513 0.002
Co4 0.998 0.006 0.749
Co5 0.999 0.504 0.497
O1 0.003 0.728 0.995
O2 0.019 0.234 0.251
O3 0.022 0.742 0.501
O4 0.023 0.242 0.755
O5 0.474 0.017 0.867
O6 0.475 0.012 0.366
O7 0.475 0.511 0.616
O8 0.476 0.502 0.113
O9 0.519 0.004 0.131
O10 0.523 0.491 0.880
O11 0.523 0.496 0.377
O12 0.524 0.997 0.629
O13 0.976 0.265 0.494
O14 0.976 0.274 0.990
O15 0.977 0.766 0.744
O16 0.993 0.778 0.249

---

Entry 3:
The following is a simulated powder diffractogram of MgCo2P2O8F2. It was derived from a cell relaxed with PBE+U, using CuKα.
Intensities are scaled so that the largest is 100.

Largest 10 diffraction maxima, in order of rising 2θ, 10 to 80 degrees two-theta:
h k l	d (Å)	I (rel.)
0 1 -1	4.965	19.8
1 0 -1	4.724	42.9
1 0 1	3.355	100.0
1 0 -2	3.243	11.4
-1 1 1	3.224	23.4
1 1 -2	3.150	38.3
1 2 -3	2.051	11.5
2 0 2	1.677	11.1
-2 2 2	1.612	16.9
2 2 -4	1.575	13.4

Cell and atoms:
Cell: 5.154 5.381 7.346 Å, 110.99 107.91 92.01°
Element x y z (fractional)
Mg1 0.000 0.000 0.000
Co1 0.500 0.000 0.501
Co2 0.999 0.501 0.002
P1 0.388 0.591 0.744
P2 0.611 0.410 0.258
O1 0.182 0.670 0.867
O2 0.310 0.315 0.095
O3 0.337 0.280 0.641
O4 0.342 0.736 0.597
O5 0.658 0.265 0.406
O6 0.664 0.721 0.362
O7 0.689 0.687 0.909
O8 0.815 0.330 0.134
F1 0.145 0.871 0.234
F2 0.856 0.131 0.768

---

Entry 4:
The following is a simulated powder diffractogram of RbVOF3. It was derived from a cell relaxed with PBE+U, using CuKα.
Intensities are scaled so that the largest is 100.

Largest 10 diffraction maxima, in order of rising 2θ, 10 to 80 degrees two-theta:
h k l	d (Å)	I (rel.)
1 1 0	6.294	22.4
0 4 0	3.795	29.2
0 2 1	3.505	24.8
2 1 0	3.372	37.8
1 4 0	3.327	58.5
1 2 1	3.126	100.0
1 4 1	2.545	19.6
0 6 1	2.131	25.4
0 0 2	1.975	50.1
1 8 0	1.830	20.7

Cell and atoms:
Cell: 6.916 15.179 3.952 Å, 90.00 90.00 90.00°
Element x y z (fractional)
Rb1 0.190 0.166 0.000
Rb2 0.310 0.666 0.000
Rb3 0.690 0.334 0.000
Rb4 0.810 0.834 0.000
V1 0.158 0.414 0.500
V2 0.342 0.914 0.500
V3 0.658 0.086 0.500
V4 0.842 0.586 0.500
O1 0.109 0.894 0.500
O2 0.391 0.394 0.500
O3 0.609 0.606 0.500
O4 0.891 0.106 0.500
F1 0.042 0.299 0.500
F2 0.114 0.415 0.000
F3 0.151 0.545 0.500
F4 0.349 0.045 0.500
F5 0.386 0.915 0.000
F6 0.458 0.799 0.500
F7 0.542 0.201 0.500
F8 0.614 0.085 0.000
F9 0.651 0.955 0.500
F10 0.849 0.455 0.500
F11 0.886 0.585 0.000
F12 0.958 0.701 0.500

---

Entry 5:
The following is a simulated powder diffractogram of Li4Ni7O14. It was derived from a cell relaxed with PBE+U, using CuKα.
Intensities are scaled so that the largest is 100.

Largest 10 diffraction maxima, in order of rising 2θ, 10 to 80 degrees two-theta:
h k l	d (Å)	I (rel.)
0 1 -1	4.827	100.0
-1 1 2	2.472	13.1
2 0 1	2.421	11.3
0 2 -2	2.413	5.0
1 2 2	2.390	10.4
1 0 -3	2.075	18.9
2 -1 2	2.028	17.5
1 3 1	2.006	16.9
2 2 -1	1.879	7.1
1 1 -4	1.608	6.3

Cell and atoms:
Cell: 4.920 6.432 7.655 Å, 87.80 79.38 83.73°
Element x y z (fractional)
Li1 0.072 0.357 0.359
Li2 0.220 0.074 0.073
Li3 0.780 0.926 0.927
Li4 0.928 0.643 0.641
Ni1 0.000 0.500 0.000
Ni2 0.140 0.212 0.719
Ni3 0.287 0.924 0.431
Ni4 0.430 0.638 0.144
Ni5 0.570 0.362 0.856
Ni6 0.713 0.076 0.569
Ni7 0.860 0.788 0.281
O1 0.014 0.956 0.674
O2 0.088 0.766 0.055
O3 0.161 0.667 0.380
O4 0.226 0.477 0.772
O5 0.306 0.385 0.096
O6 0.374 0.189 0.493
O7 0.452 0.106 0.819
O8 0.548 0.894 0.181
O9 0.626 0.811 0.507
O10 0.694 0.615 0.904
O11 0.774 0.523 0.228
O12 0.839 0.333 0.620
O13 0.912 0.234 0.945
O14 0.986 0.044 0.326

---

Entry 6:
The following is a simulated powder diffractogram of LiV2O4. It was derived from a cell relaxed with PBE+U, using CuKα.
Intensities are scaled so that the largest is 100.

Largest 10 diffraction maxima, in order of rising 2θ, 10 to 80 degrees two-theta:
h k l	d (Å)	I (rel.)
0 0 1	5.312	100.0
1 2 0	2.583	8.9
2 0 -1	2.345	16.3
1 2 1	2.318	31.1
2 0 -2	1.868	8.9
1 2 -2	1.857	5.4
1 2 2	1.846	19.7
3 2 0	1.497	8.3
1 2 -3	1.465	7.1
2 0 3	1.456	5.7

Cell and atoms:
Cell: 5.195 5.954 5.313 Å, 90.00 90.70 90.00°
Element x y z (fractional)
Li1 0.190 0.250 0.061
Li2 0.810 0.750 0.939
V1 0.000 0.000 0.500
V2 0.000 0.500 0.500
V3 0.488 0.750 0.481
V4 0.512 0.250 0.519
O1 0.141 0.750 0.695
O2 0.163 0.250 0.701
O3 0.321 0.014 0.307
O4 0.321 0.486 0.307
O5 0.679 0.514 0.693
O6 0.679 0.986 0.693
O7 0.837 0.750 0.299
O8 0.859 0.250 0.305

---

Entry 7:
The following is a simulated powder diffractogram of Na3VAsCO7. It was derived from a cell relaxed with PBE+U, using CuKα.
Intensities are scaled so that the largest is 100.

Largest 10 diffraction maxima, in order of rising 2θ, 10 to 80 degrees two-theta:
h k l	d (Å)	I (rel.)
1 0 -1	4.650	27.4
1 1 1	3.811	34.9
0 2 0	3.506	100.0
1 1 2	3.075	24.9
1 2 -1	2.798	52.6
0 2 2	2.779	66.2
2 0 0	2.656	51.3
0 2 4	1.916	24.6
2 2 2	1.904	27.5
0 4 0	1.751	25.3

Cell and atoms:
Cell: 5.314 7.006 9.158 Å, 90.00 91.55 90.00°
Element x y z (fractional)
Na1 0.233 0.250 0.081
Na2 0.252 0.508 0.737
Na3 0.252 0.992 0.737
Na4 0.748 0.008 0.263
Na5 0.748 0.492 0.263
Na6 0.767 0.750 0.919
V1 0.220 0.750 0.338
V2 0.780 0.250 0.662
As1 0.292 0.250 0.414
As2 0.708 0.750 0.586
C1 0.284 0.750 0.055
C2 0.716 0.250 0.945
O1 0.062 0.750 0.113
O2 0.156 0.250 0.583
O3 0.209 0.057 0.305
O4 0.209 0.443 0.305
O5 0.308 0.750 0.915
O6 0.384 0.750 0.558
O7 0.481 0.750 0.144
O8 0.519 0.250 0.856
O9 0.616 0.250 0.442
O10 0.692 0.250 0.085
O11 0.791 0.557 0.695
O12 0.791 0.943 0.695
O13 0.844 0.750 0.417
O14 0.938 0.250 0.887

---

Entry 8:
The following is a simulated powder diffractogram of MgVSnO4. It was derived from a cell relaxed with PBE+U, using CuKα.
Intensities are scaled so that the largest is 100.

Largest 10 diffraction maxima, in order of rising 2θ, 10 to 80 degrees two-theta:
h k l	d (Å)	I (rel.)
0 1 0	5.278	66.2
0 1 1	4.362	66.1
0 1 -1	3.315	100.0
1 1 0	2.725	56.0
1 -1 0	2.684	55.2
0 2 1	2.663	62.3
1 1 1	2.589	27.7
-1 1 1	2.519	25.1
1 -2 0	2.006	32.6
0 0 3	1.759	24.9

Cell and atoms:
Cell: 3.150 5.476 5.484 Å, 74.44 88.69 88.68°
Element x y z (fractional)
Mg1 0.000 0.000 0.000
V1 0.983 0.681 0.683
Sn1 0.479 0.297 0.300
O1 0.474 0.534 0.539
O2 0.509 0.859 0.858
O3 0.985 0.378 0.998
O4 0.985 0.994 0.378

---

Entry 9:
The following is a simulated powder diffractogram of CaFeAsO5. It was derived from a cell relaxed with PBE+U, using CuKα.
Intensities are scaled so that the largest is 100.

Largest 10 diffraction maxima, in order of rising 2θ, 10 to 80 degrees two-theta:
h k l	d (Å)	I (rel.)
1 0 1	4.994	34.1
1 1 1	4.191	40.3
1 2 0	3.241	100.0
0 1 3	2.808	73.0
2 1 1	2.667	68.8
1 2 2	2.634	51.9
1 1 3	2.542	43.8
0 2 3	2.375	36.4
0 4 2	1.773	38.9
2 3 3	1.637	43.6

Cell and atoms:
Cell: 5.989 7.709 9.044 Å, 90.00 90.00 90.00°
Element x y z (fractional)
Ca1 0.025 0.147 0.170
Ca2 0.475 0.853 0.670
Ca3 0.525 0.353 0.830
Ca4 0.975 0.647 0.330
Fe1 0.246 0.258 0.505
Fe2 0.254 0.742 0.005
Fe3 0.746 0.242 0.495
Fe4 0.754 0.758 0.995
As1 0.019 0.611 0.685
As2 0.481 0.389 0.185
As3 0.519 0.889 0.315
As4 0.981 0.111 0.815
O1 0.005 0.131 0.420
O2 0.008 0.929 0.931
O3 0.086 0.774 0.566
O4 0.232 0.138 0.722
O5 0.246 0.595 0.803
O6 0.254 0.405 0.303
O7 0.268 0.862 0.222
O8 0.414 0.226 0.066
O9 0.492 0.071 0.431
O10 0.495 0.869 0.920
O11 0.505 0.369 0.580
O12 0.508 0.571 0.069
O13 0.586 0.726 0.434
O14 0.732 0.362 0.278
O15 0.746 0.905 0.197
O16 0.754 0.095 0.697
O17 0.768 0.638 0.778
O18 0.914 0.274 0.934
O19 0.992 0.429 0.569
O20 0.995 0.631 0.080